# 1
Diffraction record for Rb2TcS3. The X-ray powder pattern is computed, not measured: it uses a crystal structure in OQMD, relaxed with GGA-PBE and CuKα.

Structure:
```
Rb2TcS3
1.0
6.9023 0.0000 0.0000
3.2399 6.8005 0.0000
3.2962 1.1294 7.9547
Rb Tc S
4 2 6
Cartesian
1.6942 1.4917 1.0548
5.1218 4.2880 2.4330
8.3167 3.6418 5.5218
11.7443 6.4382 6.9000
5.0044 1.1069 5.2521
8.4341 6.8229 2.7026
4.8369 3.2923 5.7156
6.5530 7.2001 3.9154
8.2928 6.6599 7.1036
5.1457 1.2700 0.8511
6.8855 0.7298 4.0393
8.6016 4.6375 2.2391
```

Largest 10 diffraction maxima, low angle first, 10 to 90 degrees two-theta:
| 2theta | d (Å) | intensity |
| --- | --- | --- |
| 13.15 | 6.733 | 32 |
| 15.72 | 5.639 | 21 |
| 22.35 | 3.977 | 18 |
| 24.70 | 3.605 | 51 |
| 25.21 | 3.533 | 46 |
| 25.83 | 3.449 | 100 |
| 27.28 | 3.270 | 62 |
| 27.60 | 3.231 | 57 |
| 34.15 | 2.625 | 18 |
| 43.40 | 2.085 | 39 |


# 2
Diffraction record for Rb2TcTe2S. The X-ray powder pattern is computed, not measured: it uses a crystal structure in OQMD, relaxed with GGA-PBE and CuKα.

Structure:
```
Rb2TcTe2S
1.0
7.3940 0.0000 0.0000
2.8711 7.3205 0.0000
3.1594 1.4471 8.7102
Rb Tc Te S
4 2 4 2
Cartesian
1.7747 1.5441 1.2323
5.1227 4.6793 2.7629
8.3018 4.0883 5.9473
11.6499 7.2235 7.4780
5.0655 1.2450 5.6383
8.3590 7.5226 3.0719
4.6001 3.6897 6.3294
7.9238 7.2559 7.8521
5.5007 1.5117 0.8581
8.8245 5.0779 2.3808
6.4229 7.7656 4.1809
7.0017 1.0020 4.5293
```

Largest 10 diffraction maxima, low angle first, 10 to 90 degrees two-theta:
| 2theta | d (Å) | intensity |
| --- | --- | --- |
| 14.46 | 6.124 | 28 |
| 24.25 | 3.670 | 100 |
| 25.10 | 3.548 | 87 |
| 25.56 | 3.485 | 69 |
| 31.24 | 2.863 | 35 |
| 32.96 | 2.718 | 28 |
| 35.22 | 2.548 | 24 |
| 37.30 | 2.411 | 24 |
| 40.48 | 2.229 | 33 |
| 49.70 | 1.835 | 21 |


# 3
Diffraction record for RbW3S5. The X-ray powder pattern is computed, not measured: it uses a crystal structure in OQMD, relaxed with GGA-PBE and CuKα.

Structure:
```
RbW3S5
1.0
5.6440 0.0000 0.0000
-2.8220 4.8878 0.0000
0.0000 0.0000 7.3184
Rb W S
1 3 5
Cartesian
0.0000 0.0000 0.0000
-1.4110 2.4439 3.6592
2.8220 0.0000 3.6592
1.4110 2.4439 3.6592
0.0000 0.0000 3.6592
0.0000 3.2585 1.8256
0.0000 3.2585 5.4927
2.8220 1.6293 1.8256
2.8220 1.6293 5.4927
```

Largest 10 diffraction maxima, low angle first, 10 to 90 degrees two-theta:
| 2theta | d (Å) | intensity |
| --- | --- | --- |
| 12.09 | 7.318 | 100 |
| 21.87 | 4.065 | 36 |
| 24.32 | 3.659 | 23 |
| 34.05 | 2.633 | 12 |
| 36.79 | 2.443 | 38 |
| 38.85 | 2.318 | 36 |
| 44.58 | 2.032 | 54 |
| 53.04 | 1.727 | 15 |
| 63.52 | 1.465 | 14 |
| 66.24 | 1.411 | 10 |


# 4
Diffraction record for Rb2ScTaSe6. The X-ray powder pattern is computed, not measured: it uses a crystal structure in OQMD, relaxed with GGA-PBE and CuKα.

Structure:
```
Rb2ScTaSe6
1.0
4.4140 0.0000 0.0000
0.0000 4.4140 0.0000
0.0000 0.0000 15.6532
Rb Sc Ta Se
2 1 1 6
Cartesian
0.0000 0.0000 3.3987
0.0000 0.0000 12.2545
2.2070 2.2070 0.0000
2.2070 2.2070 7.8266
0.0000 0.0000 0.0000
0.0000 0.0000 7.8266
0.0000 2.2070 6.0836
0.0000 2.2070 9.5696
2.2070 0.0000 6.0836
2.2070 0.0000 9.5696
```

Largest 10 diffraction maxima, low angle first, 10 to 90 degrees two-theta:
| 2theta | d (Å) | intensity |
| --- | --- | --- |
| 11.31 | 7.827 | 53 |
| 20.91 | 4.248 | 18 |
| 23.13 | 3.845 | 26 |
| 28.56 | 3.126 | 16 |
| 33.45 | 2.679 | 32 |
| 36.83 | 2.440 | 100 |
| 40.88 | 2.208 | 54 |
| 45.30 | 2.002 | 20 |
| 59.21 | 1.561 | 15 |
| 71.80 | 1.315 | 28 |


# 5
Diffraction record for Rb3TaTe3Se. The X-ray powder pattern is computed, not measured: it uses a crystal structure in OQMD, relaxed with GGA-PBE and CuKα.

Structure:
```
Rb3TaTe3Se
1.0
6.3452 3.6634 2.4582
-6.3452 3.6634 2.4582
0.0000 -7.3268 2.4582
Rb Ta Te Se
3 1 3 1
Cartesian
0.0000 -3.3652 2.4582
-2.9144 1.6826 2.4582
2.9144 1.6826 2.4582
0.0000 0.0000 5.2731
-4.1578 -2.4005 3.6277
4.1578 -2.4005 3.6277
0.0000 4.8010 3.6277
0.0000 0.0000 2.8913
```

Largest 10 diffraction maxima, low angle first, 10 to 90 degrees two-theta:
| 2theta | d (Å) | intensity |
| --- | --- | --- |
| 13.96 | 6.345 | 45 |
| 14.46 | 6.124 | 87 |
| 24.30 | 3.663 | 81 |
| 24.60 | 3.619 | 48 |
| 25.48 | 3.496 | 53 |
| 28.13 | 3.173 | 94 |
| 29.17 | 3.062 | 100 |
| 34.85 | 2.575 | 41 |
| 43.48 | 2.081 | 45 |
| 45.36 | 1.999 | 49 |


# 6
Diffraction record for RbTbYSe3. The X-ray powder pattern is computed, not measured: it uses a crystal structure in OQMD, relaxed with GGA-PBE and CuKα.

Structure:
```
RbTbYSe3
1.0
4.5423 0.0000 0.0000
0.0000 11.1947 0.0000
-2.2459 0.0000 7.8975
Rb Tb Y Se
2 2 2 6
Cartesian
0.0000 0.0000 0.0000
-0.1015 5.5973 7.5155
-0.0708 5.5973 3.2399
-0.0437 0.0000 4.2571
2.2185 2.7966 3.7545
2.2185 8.3981 3.7545
-0.0525 3.2658 1.8484
-0.0525 7.9289 1.8484
-0.0529 2.3317 5.6521
-0.0529 8.8629 5.6521
2.2303 0.0000 2.7320
2.1987 5.5973 4.7642
```

Largest 10 diffraction maxima, low angle first, 10 to 90 degrees two-theta:
| 2theta | d (Å) | intensity |
| --- | --- | --- |
| 11.20 | 7.898 | 100 |
| 27.12 | 3.288 | 88 |
| 27.65 | 3.227 | 29 |
| 30.51 | 2.930 | 57 |
| 31.98 | 2.799 | 45 |
| 38.20 | 2.356 | 30 |
| 38.30 | 2.350 | 27 |
| 39.69 | 2.271 | 33 |
| 48.52 | 1.876 | 30 |
| 51.84 | 1.764 | 22 |


# 7
Diffraction record for Rb2TeWSe2. The X-ray powder pattern is computed, not measured: it uses a crystal structure in OQMD, relaxed with GGA-PBE and CuKα.

Structure:
```
Rb2TeWSe2
1.0
7.3852 0.0000 0.0000
3.2794 7.2540 0.0000
3.3711 1.2502 8.5200
Rb Te W Se
4 2 2 4
Cartesian
1.7864 1.6609 1.1197
5.3377 4.5791 2.7511
8.6980 3.9251 5.7688
12.2493 6.8433 7.4002
8.5472 7.0142 7.7318
5.4885 1.4899 0.7882
5.2196 1.2131 5.5696
8.8161 7.2910 2.9504
4.9490 3.5229 6.1150
6.7238 7.6219 4.1401
7.3119 0.8822 4.3799
9.0867 4.9813 2.4049
```

Largest 10 diffraction maxima, low angle first, 10 to 90 degrees two-theta:
| 2theta | d (Å) | intensity |
| --- | --- | --- |
| 12.33 | 7.177 | 74 |
| 13.74 | 6.446 | 43 |
| 14.55 | 6.089 | 39 |
| 14.66 | 6.044 | 40 |
| 14.93 | 5.932 | 33 |
| 24.15 | 3.685 | 100 |
| 25.50 | 3.494 | 71 |
| 25.82 | 3.450 | 72 |
| 34.28 | 2.616 | 35 |
| 40.64 | 2.220 | 66 |


# 8
Diffraction record for Rb2Te2WSe. The X-ray powder pattern is computed, not measured: it uses a crystal structure in OQMD, relaxed with GGA-PBE and CuKα.

Structure:
```
Rb2Te2WSe
1.0
7.4938 0.0000 0.0000
3.1290 7.5533 0.0000
3.2959 1.2915 8.6885
Rb Te W Se
4 4 2 2
Cartesian
1.7534 1.5951 1.1968
5.3561 4.6415 2.7007
8.5626 4.2034 5.9878
12.1653 7.2498 7.4917
4.8153 3.7077 6.2476
8.4083 7.3547 7.8567
5.5103 1.4901 0.8318
9.1033 5.1372 2.4409
5.2090 1.1976 5.6663
8.7096 7.6473 3.0223
6.6031 7.8825 4.2068
7.3156 0.9623 4.4818
```

Largest 10 diffraction maxima, low angle first, 10 to 90 degrees two-theta:
| 2theta | d (Å) | intensity |
| --- | --- | --- |
| 11.85 | 7.471 | 52 |
| 13.33 | 6.643 | 34 |
| 14.32 | 6.184 | 49 |
| 14.44 | 6.135 | 33 |
| 14.72 | 6.018 | 37 |
| 23.85 | 3.732 | 100 |
| 24.52 | 3.631 | 77 |
| 25.18 | 3.536 | 68 |
| 39.06 | 2.306 | 36 |
| 48.79 | 1.866 | 26 |


# 9
Diffraction record for RbTmZrSe3. The X-ray powder pattern is computed, not measured: it uses a crystal structure in OQMD, relaxed with GGA-PBE and CuKα.

Structure:
```
RbTmZrSe3
1.0
2.1491 -7.8573 0.0000
2.1491 7.8573 0.0000
0.0000 0.0000 10.7618
Rb Tm Zr Se
2 2 2 6
Cartesian
2.1491 3.9952 8.0713
2.1491 -3.9952 2.6904
2.1491 0.0000 0.0000
2.1491 0.0000 5.3809
2.1491 7.4261 2.6904
2.1491 -7.4261 8.0713
2.1491 5.9783 0.5203
2.1491 5.9783 4.8605
2.1491 1.0753 2.6904
2.1491 -1.0753 8.0713
2.1491 -5.9783 5.9012
2.1491 -5.9783 10.2414
```

Largest 10 diffraction maxima, low angle first, 10 to 90 degrees two-theta:
| 2theta | d (Å) | intensity |
| --- | --- | --- |
| 11.26 | 7.857 | 100 |
| 20.00 | 4.440 | 15 |
| 26.83 | 3.323 | 23 |
| 28.11 | 3.175 | 60 |
| 31.65 | 2.827 | 60 |
| 33.30 | 2.690 | 33 |
| 39.26 | 2.295 | 55 |
| 42.04 | 2.149 | 26 |
| 50.52 | 1.806 | 19 |
| 54.66 | 1.679 | 16 |


# 10
Diffraction record for Rb2W2Se5. The X-ray powder pattern is computed, not measured: it uses a crystal structure in OQMD, relaxed with GGA-PBE and CuKα.

Structure:
```
Rb2W2Se5
1.0
5.2243 -4.1486 0.0000
5.2243 4.1486 0.0000
-4.2918 0.0000 11.5124
Rb W Se
4 4 10
Cartesian
0.9248 1.3683 3.6306
-1.2211 -1.3683 9.3868
7.3780 1.3683 2.1256
5.2321 -1.3683 7.8818
3.7882 1.4201 0.5402
4.5145 1.4201 5.2160
1.6423 -1.4201 6.2963
2.3686 -1.4201 10.9722
1.6542 0.3751 0.3536
4.1514 2.4054 2.8781
-0.4917 -0.3751 6.1098
1.2541 0.9447 10.3266
2.7568 0.9447 6.9419
3.4000 -0.9447 4.5704
4.9027 -0.9447 1.1858
6.6485 0.3751 5.4026
2.0055 -2.4054 8.6343
4.5026 -0.3751 11.1588
```

Largest 10 diffraction maxima, low angle first, 10 to 90 degrees two-theta:
| 2theta | d (Å) | intensity |
| --- | --- | --- |
| 13.99 | 6.330 | 34 |
| 14.37 | 6.166 | 100 |
| 15.39 | 5.756 | 63 |
| 24.26 | 3.669 | 48 |
| 27.83 | 3.206 | 51 |
| 29.83 | 2.995 | 27 |
| 30.95 | 2.889 | 75 |
| 31.08 | 2.878 | 74 |
| 35.80 | 2.508 | 30 |
| 42.17 | 2.143 | 37 |


# 11
Diffraction record for RbZrZnSe3. The X-ray powder pattern is computed, not measured: it uses a crystal structure in OQMD, relaxed with GGA-PBE and CuKα.

Structure:
```
RbZrZnSe3
1.0
9.2361 0.0000 0.0000
0.0000 3.9377 0.0000
-3.8374 0.0000 9.2136
Rb Zr Zn Se
2 2 2 6
Cartesian
0.9804 0.9844 2.2686
4.4183 2.9533 6.9450
-0.1141 2.9533 8.0756
5.5128 0.9844 1.1380
-1.5650 0.9844 5.6221
6.9637 2.9533 3.5915
-2.1141 0.9844 7.9876
-0.1334 2.9533 5.0791
3.6689 2.9533 1.5352
1.7298 0.9844 7.6784
5.5321 0.9844 4.1345
7.5128 2.9533 1.2259
```

Largest 10 diffraction maxima, low angle first, 10 to 90 degrees two-theta:
| 2theta | d (Å) | intensity |
| --- | --- | --- |
| 11.10 | 7.969 | 100 |
| 29.06 | 3.072 | 45 |
| 29.87 | 2.992 | 86 |
| 30.91 | 2.893 | 57 |
| 34.64 | 2.589 | 36 |
| 35.33 | 2.541 | 24 |
| 37.15 | 2.420 | 24 |
| 43.37 | 2.087 | 39 |
| 46.09 | 1.969 | 36 |
| 49.41 | 1.844 | 36 |


# 12
Diffraction record for Rb4Zr3Se14. The X-ray powder pattern is computed, not measured: it uses a crystal structure in OQMD, relaxed with GGA-PBE and CuKα.

Structure:
```
Rb4Zr3Se14
1.0
11.4339 -4.3655 0.0000
11.4339 4.3655 0.0000
-5.2237 0.0000 13.4060
Rb Zr Se
8 6 28
Cartesian
1.3819 1.5571 8.1453
5.4587 2.1871 11.3885
9.5736 2.1871 8.7205
3.9937 -1.5571 1.4423
13.6504 1.5571 11.9636
8.0705 -2.1871 4.6855
12.1855 -2.1871 2.0175
16.2623 -1.5571 5.2607
7.1530 2.2397 1.1470
10.1280 2.2836 3.3515
13.1031 2.2397 5.5560
4.5411 -2.2397 7.8500
7.5161 -2.2836 10.0545
10.4912 -2.2397 12.2590
4.4540 1.8726 1.4256
-2.6651 0.0657 11.6362
-0.0532 -0.0657 4.9333
8.4691 2.9444 5.4247
2.2878 0.2120 4.4201
-0.3240 -0.2120 11.1231
11.7869 2.9444 1.2782
7.6584 1.2407 3.8131
4.9160 0.4659 8.1647
9.5620 0.8225 1.0375
7.5279 -0.4659 1.4617
1.8421 -1.8726 8.1285
12.5976 1.2407 2.8899
10.6940 0.8225 5.6655
6.9501 -0.8225 7.7405
5.0465 -1.2407 10.5161
15.8020 1.8726 5.2774
10.1162 0.4659 11.9443
8.0822 -0.8225 12.3685
12.7281 -0.4659 5.2413
9.9858 -1.2407 9.5929
5.8573 -2.9444 12.1277
17.9682 0.2120 2.2829
15.3563 -0.2120 8.9859
9.1750 -2.9444 7.9812
17.6974 0.0657 8.4727
20.3092 -0.0657 1.7697
13.1902 -1.8726 11.9804
```

Largest 10 diffraction maxima, low angle first, 10 to 90 degrees two-theta:
| 2theta | d (Å) | intensity |
| --- | --- | --- |
| 11.99 | 7.384 | 100 |
| 12.80 | 6.917 | 46 |
| 23.72 | 3.752 | 23 |
| 26.60 | 3.351 | 52 |
| 27.30 | 3.266 | 80 |
| 30.24 | 2.955 | 24 |
| 31.43 | 2.846 | 26 |
| 35.05 | 2.560 | 23 |
| 36.51 | 2.461 | 25 |
| 37.41 | 2.404 | 27 |


# 13
Diffraction record for RbSm. The X-ray powder pattern is computed, not measured: it uses a crystal structure in OQMD, relaxed with GGA-PBE and CuKα.

Structure:
```
RbSm
1.0
3.6204 0.0000 0.0000
0.0000 3.6204 0.0000
0.0000 0.0000 7.3335
Rb Sm
1 1
Cartesian
0.0000 0.0000 0.0000
1.8102 1.8102 3.6668
```

Largest 10 diffraction maxima, low angle first, 10 to 90 degrees two-theta:
| 2theta | d (Å) | intensity |
| --- | --- | --- |
| 12.07 | 7.334 | 11 |
| 24.27 | 3.667 | 34 |
| 27.48 | 3.246 | 100 |
| 35.05 | 2.560 | 26 |
| 43.10 | 2.099 | 29 |
| 44.73 | 2.026 | 26 |
| 56.71 | 1.623 | 13 |
| 58.37 | 1.581 | 24 |
| 62.29 | 1.491 | 10 |
| 69.66 | 1.350 | 14 |